Sm2Tl2RuO6: computed PXRD pattern (Cu Kα, 1.54184 Å), based on DFT lattice parameters and positions (GGA-PBE).

Structure:
a b c (Å): 5.925 10.242 6.755
angles (deg): 90.00 104.41 90.00
Space group C2/m (No. 12)
Symmetry-distinct sites (fractional):
Sm1 0.000 0.165 0.000
Tl1 0.000 0.340 0.500
Ru1 0.000 0.500 0.000
O1 0.194 0.349 0.163
O2 0.244 0.500 0.824

Largest 10 diffraction maxima, by angle, 15° ≤ 2θ ≤ 90°:
(1 1 0), 17.72°, I = 22
(1 1 -1), 19.85°, I = 32
(0 0 2), 27.26°, I = 67
(2 0 0), 31.17°, I = 43
(1 3 -1), 31.80°, I = 79
(1 3 1), 35.07°, I = 100
(2 0 -2), 36.14°, I = 44
(1 3 -3), 48.76°, I = 33
(3 3 -1), 53.67°, I = 42
(1 3 3), 55.62°, I = 22